Entry 1:
For LiAcEr2S4, a structure optimized by DFT (PBE) gives the theoretical powder diffraction line list in this record (Cu Kα (λ = 1.5418 Å)).

Largest 10 diffraction maxima, in order of rising 2θ, 2θ from 5° to 70°:
two_theta, d/Å, I/Imax, index
24.03, 3.703, 100, 0 2 3
24.52, 3.630, 31, 1 1 1
26.96, 3.307, 34, 0 4 0
27.13, 3.286, 51, 1 1 2
31.19, 2.867, 50, 1 3 1
33.32, 2.689, 59, 1 3 2
41.32, 2.185, 41, 1 1 5
43.38, 2.086, 27, 1 5 2
45.87, 1.978, 49, 0 6 3
46.13, 1.968, 25, 2 0 0

Crystal structure
a = 3.934 Å, b = 13.227 Å, c = 13.406 Å
α = 90.00°, β = 90.00°, γ = 90.00°
Space group Cmcm (No. 63)
Asymmetric unit:
Li1 0.000 0.149 0.250 [4 per cell]
Ac1 0.000 0.117 0.750 [4 per cell]
Er1 0.000 0.370 0.555 [8 per cell]
S1 0.000 0.000 0.000 [4 per cell]
S2 0.000 0.266 0.119 [8 per cell]
S3 0.000 0.445 0.750 [4 per cell]

=====

Entry 2:
For Li2AcErSe4, a structure optimized by DFT (PBE) gives the theoretical powder diffraction line list in this record (Cu Kα (λ = 1.5418 Å)).

Largest 10 diffraction maxima, in order of rising 2θ, 2θ from 5° to 70°:
two_theta, d/Å, I/Imax, index
13.54, 6.541, 83, 1 0 0
24.55, 3.626, 23, 1 0 -2
24.66, 3.610, 49, 0 1 1
30.30, 2.949, 50, 2 0 -2
30.41, 2.940, 100, 1 1 1
33.39, 2.684, 37, 1 0 2
42.51, 2.127, 38, 1 1 -3
42.70, 2.118, 20, 0 2 0
44.39, 2.041, 53, 3 1 -1
53.25, 1.720, 21, 2 2 -2

Crystal structure
a = 6.990 Å, b = 4.235 Å, c = 7.377 Å
α = 90.00°, β = 110.65°, γ = 90.00°
Space group P2/m (No. 10)
Asymmetric unit:
Li1 0.000 0.000 0.000 [1 per cell]
Li2 0.000 0.500 0.500 [1 per cell]
Ac1 0.500 0.000 0.500 [1 per cell]
Er1 0.500 0.500 0.000 [1 per cell]
Se1 0.238 0.500 0.224 [2 per cell]
Se2 0.246 0.000 0.766 [2 per cell]

=====

Entry 3:
For LiAcErTe3, a structure optimized by DFT (PBE) gives the theoretical powder diffraction line list in this record (Cu Kα (λ = 1.5418 Å)).

Largest 10 diffraction maxima, in order of rising 2θ, 2θ from 5° to 70°:
two_theta, d/Å, I/Imax, index
9.40, 9.408, 20, 0 0 1
28.52, 3.130, 100, 2 1 -1
28.68, 3.113, 40, 2 1 0
31.26, 2.862, 15, 1 1 2
34.50, 2.600, 16, 1 1 -3
36.85, 2.439, 17, 2 1 -3
37.40, 2.405, 21, 2 1 2
39.53, 2.280, 20, 4 0 -1
41.09, 2.197, 21, 0 2 0
45.29, 2.002, 13, 3 1 2

Crystal structure
a = 9.122 Å, b = 4.394 Å, c = 9.729 Å
α = 90.00°, β = 104.74°, γ = 90.00°
Space group P2_1/m (No. 11)
Asymmetric unit:
Li1 0.087 0.250 0.088 [2 per cell]
Ac1 0.193 0.250 0.736 [2 per cell]
Er1 0.332 0.750 0.346 [2 per cell]
Te1 0.101 0.250 0.372 [2 per cell]
Te2 0.230 0.750 0.013 [2 per cell]
Te3 0.444 0.750 0.674 [2 per cell]

=====

Entry 4:
For Ac2ErMg16, a structure optimized by DFT (PBE) gives the theoretical powder diffraction line list in this record (Cu Kα (λ = 1.5418 Å)).

Largest 10 diffraction maxima, in order of rising 2θ, 2θ from 5° to 70°:
two_theta, d/Å, I/Imax, index
16.81, 5.273, 100, 1 1 0
24.13, 3.688, 65, 1 1 3
24.99, 3.563, 25, 1 0 4
29.34, 3.044, 56, 3 0 0
30.27, 2.952, 26, 0 2 4
34.00, 2.637, 52, 2 2 0
34.20, 2.622, 60, 0 3 3
34.81, 2.577, 37, 0 0 6
45.52, 1.993, 23, 4 1 0
48.97, 1.860, 33, 4 1 3

Crystal structure
a = 10.5462 Å, b = 10.5462 Å, c = 15.4779 Å
α = 90.00°, β = 90.00°, γ = 120.00°
Space group R3m (No. 160, hexagonal axes)
Asymmetric unit:
Ac1 0.0000 0.0000 0.0000 [3 per cell]
Ac2 0.0000 0.0000 0.3261 [3 per cell]
Er1 0.0000 0.0000 0.5664 [3 per cell]
Mg1 0.0000 0.0000 0.7700 [3 per cell]
Mg2 0.0008 0.2963 0.6596 [18 per cell]
Mg3 0.0020 0.5010 0.8102 [9 per cell]
Mg4 0.1684 0.3368 0.4930 [9 per cell]
Mg5 0.1706 0.3411 0.8407 [9 per cell]

=====

Please write out number 1 again, unchanged.
For LiAcEr2S4, a structure optimized by DFT (PBE) gives the theoretical powder diffraction line list in this record (Cu Kα (λ = 1.5418 Å)).

Largest 10 diffraction maxima, in order of rising 2θ, 2θ from 5° to 70°:
two_theta, d/Å, I/Imax, index
24.03, 3.703, 100, 0 2 3
24.52, 3.630, 31, 1 1 1
26.96, 3.307, 34, 0 4 0
27.13, 3.286, 51, 1 1 2
31.19, 2.867, 50, 1 3 1
33.32, 2.689, 59, 1 3 2
41.32, 2.185, 41, 1 1 5
43.38, 2.086, 27, 1 5 2
45.87, 1.978, 49, 0 6 3
46.13, 1.968, 25, 2 0 0

Crystal structure
a = 3.934 Å, b = 13.227 Å, c = 13.406 Å
α = 90.00°, β = 90.00°, γ = 90.00°
Space group Cmcm (No. 63)
Asymmetric unit:
Li1 0.000 0.149 0.250 [4 per cell]
Ac1 0.000 0.117 0.750 [4 per cell]
Er1 0.000 0.370 0.555 [8 per cell]
S1 0.000 0.000 0.000 [4 per cell]
S2 0.000 0.266 0.119 [8 per cell]
S3 0.000 0.445 0.750 [4 per cell]

=====

- What is the formula in the third record?
  LiAcErTe3

=====

What did the first record say?
For LiAcEr2S4, a structure optimized by DFT (PBE) gives the theoretical powder diffraction line list in this record (Cu Kα (λ = 1.5418 Å)).

Largest 10 diffraction maxima, in order of rising 2θ, 2θ from 5° to 70°:
two_theta, d/Å, I/Imax, index
24.03, 3.703, 100, 0 2 3
24.52, 3.630, 31, 1 1 1
26.96, 3.307, 34, 0 4 0
27.13, 3.286, 51, 1 1 2
31.19, 2.867, 50, 1 3 1
33.32, 2.689, 59, 1 3 2
41.32, 2.185, 41, 1 1 5
43.38, 2.086, 27, 1 5 2
45.87, 1.978, 49, 0 6 3
46.13, 1.968, 25, 2 0 0

Crystal structure
a = 3.934 Å, b = 13.227 Å, c = 13.406 Å
α = 90.00°, β = 90.00°, γ = 90.00°
Space group Cmcm (No. 63)
Asymmetric unit:
Li1 0.000 0.149 0.250 [4 per cell]
Ac1 0.000 0.117 0.750 [4 per cell]
Er1 0.000 0.370 0.555 [8 per cell]
S1 0.000 0.000 0.000 [4 per cell]
S2 0.000 0.266 0.119 [8 per cell]
S3 0.000 0.445 0.750 [4 per cell]